Structure and computed X-ray powder pattern of Pr2Tl8Ni (the PBE geometry in OQMD; Cu Kα).
Peak positions follow from Bragg's law for the DFT cell and can differ from measured ones.

Main lines, sorted by position (2θ from 10° to 90°):
- d = 3.012 Å, 2θ 29.7, I 44
- d = 2.663 Å, 2θ 33.7, I 100
- d = 2.551 Å, 2θ 35.2, I 24
- d = 2.416 Å, 2θ 37.2, I 58
- d = 1.754 Å, 2θ 52.1, I 32
- d = 1.708 Å, 2θ 53.6, I 20
- d = 1.445 Å, 2θ 64.5, I 20
- d = 1.438 Å, 2θ 64.8, I 31

```
data_Pr2Tl8Ni
_chemical_formula_sum 'Pr2 Tl8 Ni1'
_space_group_name_H-M_alt 'P 4/m m m'
_space_group_IT_number 123
_space_group_name_Hall '-P 4 2'
_cell_length_a 4.8320
_cell_length_b 4.8320
_cell_length_c 12.7557
_cell_angle_alpha 90.00
_cell_angle_beta 90.00
_cell_angle_gamma 90.00
loop_
_atom_site_label
_atom_site_type_symbol
_atom_site_fract_x
_atom_site_fract_y
_atom_site_fract_z
Pr1 Pr 0.0000 0.0000 0.1952
Tl1 Tl 0.0000 0.5000 0.0000
Tl2 Tl 0.0000 0.5000 0.3805
Tl3 Tl 0.5000 0.5000 0.1884
Ni1 Ni 0.0000 0.0000 0.5000
```